Record 1
Diffraction record for Ni8Bi8SI2. The PXRD pattern is theoretical, not measured: it uses DFT lattice parameters and positions (GGA-PBE) and Cu Kα (weighted mean of Kα1 and Kα2).
Intensities are scaled so that the largest is 100.

Cell and atoms:
Cell: 9.9715 21.7113 4.1828 Å, 90.00 90.00 90.00°
Space group P2_12_12 (No. 18)
Unique sites:
1 Ni 0.0611 0.0887 0.2499
2 Ni 0.0886 0.9144 0.7502
3 Ni 0.1756 0.0416 0.7509
4 Ni 0.1879 0.9702 0.2497
5 Bi 0.1206 0.1659 0.7503
6 Bi 0.1444 0.4471 0.2497
7 Bi 0.1669 0.5791 0.7503
8 Bi 0.1724 0.8437 0.2497
9 S 0.0000 0.0000 0.5046
10 I 0.0050 0.2961 0.2498

Top 10 peaks for 2θ = 5–70°, in order of rising 2θ:
2θ/deg	I (rel.)	index
8.1	49	0 2 0
26.2	28	1 3 1
29.1	100	2 2 1
29.6	47	3 3 0
31.0	65	1 5 1
34.0	32	3 5 0
43.1	31	4 2 1
43.3	40	0 0 2
43.7	26	2 8 1
56.1	29	3 5 2

---

Record 2
Diffraction record for BiI3O9. The PXRD pattern is theoretical, not measured: it uses DFT lattice parameters and positions (GGA-PBE) and Cu Kα (weighted mean of Kα1 and Kα2).
Intensities are scaled so that the largest is 100.

Cell and atoms:
Cell: 8.9752 6.1142 17.0194 Å, 90.00 114.98 90.00°
Space group P2_1/c (No. 14)
Unique sites:
1 Bi 0.1523 0.2179 0.1054
2 I 0.0676 0.1841 0.3541
3 I 0.3566 0.6371 0.5207
4 I 0.4150 0.5965 0.8014
5 O 0.0629 0.0540 0.6986
6 O 0.1015 0.6133 0.6713
7 O 0.1041 0.1005 0.4637
8 O 0.1336 0.6030 0.4903
9 O 0.3346 0.5866 0.8837
10 O 0.3451 0.1783 0.2549
11 O 0.3576 0.0822 0.9450
12 O 0.3700 0.0068 0.6339
13 O 0.4035 0.0286 0.1198

Top 10 peaks for 2θ = 5–70°, in order of rising 2θ:
2θ/deg	I (rel.)	index
12.0	19	1 0 -2
20.4	19	1 1 1
22.6	33	0 1 3
24.7	20	2 1 -2
25.5	100	1 1 -4
26.3	79	2 1 0
29.5	33	1 0 4
30.9	18	1 2 -1
31.3	39	3 0 -4
33.5	27	3 1 -2

---

Record 3
Diffraction record for BiIO4. The PXRD pattern is theoretical, not measured: it uses DFT lattice parameters and positions (GGA-PBE) and Cu Kα (weighted mean of Kα1 and Kα2).
Intensities are scaled so that the largest is 100.

Cell and atoms:
Cell: 5.7370 11.2666 5.8102 Å, 90.00 90.00 90.00°
Space group Pca2_1 (No. 29)
Unique sites:
1 Bi 0.0244 0.1094 0.0000
2 I 0.0030 0.3661 0.5267
3 O 0.1222 0.2191 0.6215
4 O 0.1529 0.7029 0.7811
5 O 0.2334 0.0025 0.2716
6 O 0.2473 0.4328 0.8728

Top 10 peaks for 2θ = 5–70°, in order of rising 2θ:
2θ/deg	I (rel.)	index
7.8	19	0 1 0
27.0	100	1 2 1
30.8	15	0 0 2
31.2	13	2 0 0
31.8	14	0 4 0
44.4	15	2 0 2
44.8	13	0 4 2
45.1	15	2 4 0
52.4	16	1 2 3
53.0	14	3 2 1